Structure and theoretical PXRD pattern of KMgMoO3 (a structure optimized by DFT (GGA+U); Cu Kα X-rays).
Intensities are scaled so that the largest is 100.

The 6 most intense peaks (10° ≤ 2θ ≤ 90°), sorted by position:
Position (°2θ)	d/Å	I (rel.)	index
17.8	4.995	82	0 0 1
27.8	3.209	100	1 0 1
30.2	2.961	95	1 1 0
36.0	2.498	62	0 0 2
43.2	2.094	70	2 0 0
57.4	1.605	55	2 0 2

```
data_KMgMoO3
_chemical_formula_sum 'K1 Mg1 Mo1 O3'
_cell_length_a 4.188
_cell_length_b 4.188
_cell_length_c 4.995
_cell_angle_alpha 90.00
_cell_angle_beta 90.00
_cell_angle_gamma 90.00
_space_group_name_H-M_alt 'P 4/m m m'
_space_group_IT_number 123
_space_group_name_Hall '-P 4 2'
loop_
_atom_site_label
_atom_site_fract_x
_atom_site_fract_y
_atom_site_fract_z
K1 0.000 0.000 0.000
Mg1 0.000 0.000 0.500
Mo1 0.500 0.500 0.500
O1 0.000 0.500 0.500
O2 0.500 0.500 0.000
```